RbBaYBr6: calculated powder X-ray diffraction pattern (a wavelength of 1.5418 Å), based on DFT lattice parameters and positions (GGA-PBE).
Intensities are scaled so that the largest is 100.

The 10 most intense peaks (10° ≤ 2θ ≤ 80°), low angle first:
2θ = 12.49°, I 21, hkl 0 0 2; 2θ = 17.87°, I 61, hkl 1 0 2; 2θ = 25.49°, I 100, hkl 1 1 2; 2θ = 28.59°, I 16, hkl 2 0 2; 2θ = 33.73°, I 83, hkl 1 1 4; 2θ = 36.45°, I 27, hkl 2 1 2; 2θ = 38.84°, I 45, hkl 3 0 0; 2θ = 44.49°, I 24, hkl 2 -1 6; 2θ = 52.37°, I 20, hkl 4 -2 4; 2θ = 66.39°, I 16, hkl 3 0 8

Structural model:
Unit cell a=8.0318 b=8.0318 c=14.1783 alpha=90.00 beta=90.00 gamma=120.00
Fractional coordinates of all 18 atoms:
Rb (0.0000, 0.0000, 0.0000)
Rb (0.0000, 0.0000, 0.5000)
Ba (0.3333, 0.6667, 0.2500)
Ba (0.6667, 0.3333, 0.7500)
Y (0.3333, 0.6667, 0.7500)
Y (0.6667, 0.3333, 0.2500)
Br (0.0398, 0.3873, 0.6347)
Br (0.0398, 0.6525, 0.8653)
Br (0.3475, 0.3873, 0.8653)
Br (0.3475, 0.9602, 0.6347)
Br (0.3873, 0.0398, 0.1347)
Br (0.3873, 0.3475, 0.3653)
Br (0.6127, 0.6525, 0.6347)
Br (0.6127, 0.9602, 0.8653)
Br (0.6525, 0.0398, 0.3653)
Br (0.6525, 0.6127, 0.1347)
Br (0.9602, 0.3475, 0.1347)
Br (0.9602, 0.6127, 0.3653)